The following is a theoretical XRD peak list of AsI2Br. It was derived from DFT lattice parameters and positions (GGA-PBE), using Cu Kα X-rays.

Crystal structure
```
16
Lattice="11.0797 0.0000 0.0000 0.0000 8.6966 0.0000 -1.8377 0.0000 7.6922" Properties=species:S:1:pos:R:3 pbc="T T T"
As 1.8221 1.0886 0.5184
As 0.9033 3.2597 4.3645
As 8.3388 5.4369 3.3277
As 7.4199 7.6081 7.1737
I 2.5138 1.2281 3.7967
I 1.5950 3.1203 7.6428
I 2.5458 5.2488 4.1527
I 3.4646 7.7961 0.3066
I 5.7775 0.9005 7.3856
I 6.6963 3.4478 3.5395
I 7.6471 5.5764 0.0494
I 6.7283 7.4686 3.8955
Br -1.1809 0.9489 6.0583
Br -0.2621 3.3994 2.2122
Br 9.5042 5.2972 5.4800
Br 10.4230 7.7478 1.6339
```

Top 10 peaks for 2θ from 15° to 90°, in order of rising 2θ:
16.45°, intensity 34, hkl 2 0 0; 23.13°, intensity 35, hkl 0 0 2; 24.79°, intensity 34, hkl 3 0 0; 25.13°, intensity 45, hkl 2 0 -2; 25.82°, intensity 50, hkl 1 2 1; 26.35°, intensity 30, hkl 1 0 2; 27.20°, intensity 100, hkl 2 2 -1; 32.34°, intensity 28, hkl 3 2 -1; 39.99°, intensity 39, hkl 1 2 -3; 43.40°, intensity 42, hkl 4 2 1